Starting from a cell relaxed with PBE, the powder diffractogram of NaLi16Ca2 was computed for CuKα.
No peak broadening, texture or thermal motion is included.

The 10 most intense peaks (2θ = 10–90°), by angle:
- 17.4 deg, I 100, hkl 1 1 0
- 25.0 deg, I 71, hkl 1 1 3
- 26.0 deg, I 33, hkl 1 0 4
- 30.4 deg, I 55, hkl 3 0 0
- 31.4 deg, I 33, hkl 0 2 4
- 35.3 deg, I 49, hkl 2 2 0
- 35.5 deg, I 62, hkl 0 3 3
- 36.2 deg, I 42, hkl 0 0 6
- 50.9 deg, I 32, hkl 2 1 7
- 51.4 deg, I 21, hkl 3 2 4

Structural model:
Cell: 10.1800 10.1800 14.9093 Å, 90.00 90.00 120.00°
Space group R3m (No. 160, hexagonal axes)
Symmetry-distinct sites (fractional):
Na 0.0000 0.0000 0.0000 x3
Li 0.0000 0.0000 0.2024 x3
Li 0.0000 0.3012 0.1002 x18
Li 0.0077 0.5038 0.2484 x9
Li 0.1671 0.3342 0.2830 x9
Li 0.1720 0.3440 0.9320 x9
Ca 0.0000 0.0000 0.4408 x3
Ca 0.0000 0.0000 0.7501 x3

Starting from a cell relaxed with PBE, the powder diffractogram of Pm6Nd2Se3 was computed for CuKα.
No peak broadening, texture or thermal motion is included.

The 10 most intense peaks (2θ = 10–90°), by angle:
- 27.9 deg, I 35, hkl 0 1 8
- 29.2 deg, I 100, hkl 0 1 11
- 30.9 deg, I 33, hkl 0 1 14
- 32.2 deg, I 22, hkl 1 0 16
- 34.3 deg, I 34, hkl 1 0 19
- 39.3 deg, I 16, hkl 1 0 25
- 46.4 deg, I 51, hkl 1 1 0
- 49.0 deg, I 18, hkl 0 1 35
- 55.8 deg, I 16, hkl 2 0 11
- 56.8 deg, I 21, hkl 1 1 27

Structural model:
Cell: 3.9142 3.9142 77.8395 Å, 90.00 90.00 120.00°
Space group R-3m (No. 166, hexagonal axes)
Symmetry-distinct sites (fractional):
Pm 0.0000 0.0000 0.0727 x6
Pm 0.0000 0.0000 0.1853 x6
Pm 0.0000 0.0000 0.3576 x6
Nd 0.0000 0.0000 0.4440 x6
Se 0.0000 0.0000 0.0000 x3
Se 0.0000 0.0000 0.2851 x6

Starting from a cell relaxed with PBE, the powder diffractogram of RbInSn was computed for CuKα.
No peak broadening, texture or thermal motion is included.

The 10 most intense peaks (2θ = 10–90°), by angle:
- 14.2 deg, I 22, hkl 0 1 1
- 27.9 deg, I 58, hkl 1 1 2
- 28.6 deg, I 100, hkl 1 2 1
- 31.3 deg, I 61, hkl 0 1 3
- 33.8 deg, I 45, hkl 2 0 0
- 35.8 deg, I 42, hkl 1 3 0
- 40.2 deg, I 23, hkl 1 2 3
- 44.6 deg, I 15, hkl 1 1 4
- 46.7 deg, I 40, hkl 2 1 3
- 55.4 deg, I 26, hkl 1 4 3

Structural model:
Cell: 5.299 8.528 9.109 Å, 90.00 90.00 90.00°
Space group Ima2 (No. 46)
Symmetry-distinct sites (fractional):
Rb 0.250 0.170 0.000 x4
In 0.250 0.587 0.165 x4
Sn 0.250 0.598 0.830 x4

Starting from a cell relaxed with PBE, the powder diffractogram of MgSn2Cl6 was computed for CuKα.
No peak broadening, texture or thermal motion is included.

The 10 most intense peaks (2θ = 10–90°), by angle:
- 10.4 deg, I 51, hkl 1 1 0
- 17.0 deg, I 82, hkl 4 0 0
- 23.3 deg, I 64, hkl 0 2 1
- 23.7 deg, I 36, hkl 2 2 -1
- 25.9 deg, I 51, hkl 2 2 1
- 26.0 deg, I 37, hkl 2 0 -2
- 28.2 deg, I 33, hkl 4 0 -2
- 30.8 deg, I 100, hkl 4 2 1
- 32.4 deg, I 47, hkl 6 2 -1
- 38.6 deg, I 32, hkl 8 0 -2

Structural model:
Cell: 21.410 9.331 6.870 Å, 90.00 103.60 90.00°
Space group C2/c (No. 15)
Symmetry-distinct sites (fractional):
Mg 0.000 0.001 0.250 x4
Sn 0.235 0.123 0.248 x8
Cl 0.055 0.133 0.039 x8
Cl 0.177 0.187 0.591 x8
Cl 0.189 0.433 0.016 x8

Starting from a cell relaxed with PBE, the powder diffractogram of CePm6In was computed for CuKα.
No peak broadening, texture or thermal motion is included.

The 10 most intense peaks (2θ = 10–90°), by angle:
- 30.8 deg, I 100, hkl 1 1 2
- 35.0 deg, I 18, hkl 0 0 4
- 36.0 deg, I 33, hkl 2 0 0
- 51.1 deg, I 24, hkl 2 0 4
- 51.9 deg, I 12, hkl 2 2 0
- 60.1 deg, I 15, hkl 1 1 6
- 61.5 deg, I 28, hkl 3 1 2
- 64.1 deg, I 12, hkl 2 2 4
- 83.4 deg, I 12, hkl 3 1 6
- 84.6 deg, I 6, hkl 3 3 2

Structural model:
Cell: 4.985 4.985 10.264 Å, 90.00 90.00 90.00°
Space group P4/mmm (No. 123)
Symmetry-distinct sites (fractional):
Ce 0.000 0.000 0.000 x1
Pm 0.000 0.500 0.255 x4
Pm 0.500 0.500 0.000 x1
Pm 0.500 0.500 0.500 x1
In 0.000 0.000 0.500 x1